Starting from a crystal structure in Alexandria, relaxed with GGA+U, the PXRD pattern of KTmV2O6 was computed for a wavelength of 1.5418 Å.

Top 8 peaks for 2θ = 5–70°, by angle:
two_theta	intensity
19.43	100
21.56	32
28.60	34
32.63	50
32.98	23
39.45	16
46.69	53
68.31	22

Structural model:
Lattice parameters (Å, degrees): 6.3618 6.3618 6.3618 51.11 51.11 51.11
Atoms (fractional coordinates):
K 0.0000 0.0000 0.0000
Tm 0.5000 0.5000 0.5000
V 0.3215 0.3215 0.3215
V 0.6785 0.6785 0.6785
O 0.0808 0.5089 0.6208
O 0.3792 0.9192 0.4911
O 0.4911 0.3792 0.9192
O 0.5089 0.6208 0.0808
O 0.6208 0.0808 0.5089
O 0.9192 0.4911 0.3792